Simulated powder diffraction line list of KCr2S4 for a wavelength of 1.5418 Å, from the GGA-PBE geometry in the Materials Project.

Top 12 peaks for 10 to 90 degrees two-theta, by angle:
h k l, 2θ/deg, Rel. int.
0 0 2, 12.03, 100
0 0 4, 24.20, 6
1 0 2, 31.55, 32
1 0 3, 34.44, 56
1 0 4, 38.16, 33
1 0 6, 47.44, 35
1 1 0, 51.51, 27
1 1 2, 53.10, 11
2 0 3, 63.44, 8
1 0 9, 64.58, 7
2 0 6, 72.61, 9
2 1 3, 86.02, 7

Cell and atoms:
a = 3.5483 Å, b = 3.5483 Å, c = 14.7115 Å
α = 90.00°, β = 90.00°, γ = 120.00°
Space group P-6m2 (No. 187)
One atom of each set of equivalent atoms:
K  0.0000  0.0000  0.0000 [1 per cell]
Cr  0.3333  0.6667  0.2501 [2 per cell]
S  0.0000  0.0000  0.3286 [2 per cell]
S  0.6667  0.3333  0.1575 [2 per cell]


Simulated powder diffraction line list of LaMg14Cr for a wavelength of 1.5418 Å, from the GGA-PBE geometry in the Materials Project.

Top 12 peaks for 10 to 90 degrees two-theta, by angle:
h k l, 2θ/deg, Rel. int.
1 0 0, 15.61, 33
1 0 1, 17.83, 15
1 0 2, 23.30, 26
2 0 0, 31.52, 28
1 1 2, 32.36, 11
0 0 4, 34.78, 24
2 0 2, 36.12, 100
2 0 4, 47.64, 17
2 2 0, 56.12, 17
2 0 6, 63.22, 18
2 2 4, 67.74, 19
4 0 2, 68.57, 14

Cell and atoms:
a = 6.5557 Å, b = 6.5557 Å, c = 10.3172 Å
α = 90.00°, β = 90.00°, γ = 120.00°
Space group P-6m2 (No. 187)
One atom of each set of equivalent atoms:
La  0.0000  0.0000  0.0000 [1 per cell]
Mg  0.0111  0.5055  0.0000 [3 per cell]
Mg  0.1669  0.3338  0.2603 [6 per cell]
Mg  0.5003  0.0006  0.5000 [3 per cell]
Mg  0.6667  0.3333  0.2442 [2 per cell]
Cr  0.0000  0.0000  0.5000 [1 per cell]


Simulated powder diffraction line list of LaMg14Cr for a wavelength of 1.5418 Å, from the GGA-PBE geometry in the Materials Project.

Top 12 peaks for 10 to 90 degrees two-theta, by angle:
h k l, 2θ/deg, Rel. int.
0 0 2, 15.46, 18
1 0 2, 17.67, 26
1 1 1, 18.06, 16
0 2 2, 32.12, 32
4 0 0, 34.56, 39
2 0 4, 35.78, 59
2 2 2, 36.60, 100
4 2 2, 47.90, 20
0 2 6, 56.11, 19
6 2 2, 63.26, 18
4 2 6, 67.60, 21
2 4 4, 69.90, 16

Cell and atoms:
a = 10.3817 Å, b = 6.3774 Å, c = 11.4665 Å
α = 90.00°, β = 90.00°, γ = 90.00°
Space group Amm2 (No. 38)
One atom of each set of equivalent atoms:
La  0.0000  0.0000  0.0000 [2 per cell]
Mg  0.0000  0.2401  0.2520 [4 per cell]
Mg  0.2360  0.0000  0.6542 [4 per cell]
Mg  0.2555  0.2437  0.4074 [8 per cell]
Mg  0.2617  0.0000  0.1622 [4 per cell]
Mg  0.5000  0.0000  0.4953 [2 per cell]
Mg  0.5000  0.0000  0.9932 [2 per cell]
Mg  0.5000  0.2470  0.7439 [4 per cell]
Cr  0.0000  0.0000  0.4886 [2 per cell]


Simulated powder diffraction line list of LaMg2Cr3S8 for a wavelength of 1.5418 Å, from the GGA-PBE geometry in the Materials Project.

Top 12 peaks for 10 to 90 degrees two-theta, by angle:
h k l, 2θ/deg, Rel. int.
2 0 -1, 14.65, 84
2 0 0, 16.79, 15
0 2 0, 24.14, 18
2 0 1, 27.56, 33
3 1 -2, 28.10, 74
4 0 0, 33.96, 100
1 3 0, 37.58, 12
5 1 0, 44.64, 21
3 3 -2, 44.99, 20
2 2 2, 48.13, 41
0 4 0, 49.45, 50
4 4 0, 61.35, 16

Cell and atoms:
a = 12.7602 Å, b = 7.3782 Å, c = 7.5652 Å
α = 90.00°, β = 124.21°, γ = 90.00°
Space group C2/m (No. 12)
One atom of each set of equivalent atoms:
La  0.0000  0.0000  0.0000 [2 per cell]
Mg  0.1239  0.5000  0.8721 [4 per cell]
Cr  0.0000  0.0000  0.5000 [2 per cell]
Cr  0.2500  0.2500  0.5000 [4 per cell]
S  0.0199  0.2423  0.3021 [8 per cell]
S  0.2368  0.0000  0.7104 [4 per cell]
S  0.2378  0.5000  0.6976 [4 per cell]


Simulated powder diffraction line list of La3Mg2CrS8 for a wavelength of 1.5418 Å, from the GGA-PBE geometry in the Materials Project.

Top 12 peaks for 10 to 90 degrees two-theta, by angle:
h k l, 2θ/deg, Rel. int.
1 0 1, 13.46, 59
0 0 3, 13.82, 40
0 2 1, 25.87, 61
1 1 3, 26.07, 34
0 1 5, 26.45, 19
0 2 4, 31.62, 100
2 0 5, 34.66, 25
1 2 5, 41.43, 18
2 2 0, 44.85, 48
2 0 8, 45.80, 43
4 0 4, 55.91, 17
2 4 4, 74.37, 14

Cell and atoms:
a = 8.0830 Å, b = 8.0830 Å, c = 19.2265 Å
α = 90.00°, β = 90.00°, γ = 120.00°
Space group R-3m (No. 166, hexagonal axes)
One atom of each set of equivalent atoms:
La  0.0000  0.5000  0.0000 [9 per cell]
Mg  0.0000  0.0000  0.1263 [6 per cell]
Cr  0.0000  0.0000  0.5000 [3 per cell]
S  0.0000  0.0000  0.2518 [6 per cell]
S  0.0262  0.5131  0.2395 [18 per cell]


Simulated powder diffraction line list of LaMgCrS4 for a wavelength of 1.5418 Å, from the GGA-PBE geometry in the Materials Project.

Top 12 peaks for 10 to 90 degrees two-theta, by angle:
h k l, 2θ/deg, Rel. int.
0 1 1, 13.83, 41
1 0 1, 14.20, 100
0 0 2, 16.27, 20
1 2 1, 26.68, 94
1 0 3, 27.22, 67
2 2 0, 32.65, 97
0 0 4, 32.89, 45
1 2 3, 35.57, 33
3 2 1, 43.18, 30
0 4 0, 45.88, 22
2 2 4, 47.02, 83
4 0 0, 47.81, 22

Cell and atoms:
a = 7.6102 Å, b = 7.9115 Å, c = 10.8943 Å
α = 90.00°, β = 90.00°, γ = 90.00°
Space group Imma (No. 74)
One atom of each set of equivalent atoms:
La  0.0000  0.0000  0.0000 [4 per cell]
Mg  0.0000  0.2500  0.3783 [4 per cell]
Cr  0.2500  0.2500  0.7500 [4 per cell]
S  0.0000  0.0387  0.7390 [8 per cell]
S  0.2413  0.2500  0.5252 [8 per cell]


What is the formula in the second record? LaMg14Cr